Structure and theoretical powder diffractogram of Pm6MgSi2 (a PBE-relaxed structure; Cu Ka).
Peak positions follow from Bragg's law for the DFT cell and can differ from measured ones.

Principal peaks in the range 10° ≤ 2θ ≤ 90°, in order of rising 2θ:
d/Å  2theta  intensity
3.615  24.63  35.2
3.304  26.99  30.2
3.176  28.10  24.8
3.155  28.29  31.8
2.929  30.52  100.0
2.753  32.52  37.8
2.707  33.10  37.0
2.677  33.47  51.1
2.491  36.05  22.8
2.324  38.74  21.0
1.651  55.66  17.9
1.627  56.58  25.7

Atomic structure:
```
Pm6MgSi2
1.0
-4.9824 4.9978 5.2506
4.9824 -4.9978 5.2506
4.9824 4.9978 -5.2506
Pm Mg Si
12 2 4
Direct
0.0411 0.2469 0.7942
0.1785 0.2757 0.4542
0.1785 0.7243 0.9028
0.3230 0.0234 0.7005
0.3230 0.6225 0.2995
0.4528 0.2469 0.2058
0.5472 0.7531 0.7942
0.6770 0.3775 0.7005
0.6770 0.9766 0.2995
0.8215 0.2757 0.0972
0.8215 0.7243 0.5458
0.9589 0.7531 0.2058
0.0000 0.0000 0.0000
0.5000 0.5000 0.0000
0.1139 0.6139 0.5000
0.3545 0.0000 0.3545
0.6455 0.0000 0.6455
0.8861 0.3861 0.5000
```